No. 1
Starting from a crystal structure in Alexandria, relaxed with GGA-PBE, the PXRD pattern of Ba3U2InO9 was calculated for Cu Kα X-rays.
Kinematic intensities with the Lorentz-polarization factor, no thermal factor.

Crystal structure
```
Ba3U2InO9
1.0
6.183 0.000 0.000
-3.092 5.355 0.000
0.000 0.000 7.605
Ba U In O
3 2 1 9
Direct
0.000 0.000 0.000
0.333 0.667 0.656
0.667 0.333 0.344
0.333 0.667 0.172
0.667 0.333 0.828
0.000 0.000 0.500
0.000 0.500 0.000
0.167 0.335 0.333
0.167 0.833 0.333
0.335 0.167 0.667
0.500 0.000 0.000
0.500 0.500 0.000
0.665 0.833 0.333
0.833 0.167 0.667
0.833 0.665 0.667
```

Top 10 peaks for 10 to 80 degrees two-theta, in order of falling intensity:
two_theta, d [Å], I_rel
28.8, 3.096, 100
51.1, 1.786, 32
41.2, 2.189, 28
51.0, 1.792, 10
20.3, 4.378, 10
67.7, 1.383, 9
67.6, 1.386, 9
59.8, 1.546, 9
59.6, 1.550, 9
75.3, 1.263, 5


No. 2
Starting from a crystal structure in Alexandria, relaxed with GGA-PBE, the PXRD pattern of Ac2Pm5Ho2 was calculated for Cu Kα X-rays.
Kinematic intensities with the Lorentz-polarization factor, no thermal factor.

Crystal structure
```
Ac2Pm5Ho2
1.0
3.687 0.000 0.000
0.025 8.784 0.000
1.811 1.878 10.175
Ac Pm Ho
2 5 2
Direct
0.103 0.322 0.292
0.897 0.678 0.708
0.082 0.722 0.348
0.283 0.347 0.933
0.500 0.000 0.500
0.717 0.653 0.067
0.918 0.278 0.652
0.318 0.970 0.858
0.682 0.030 0.142
```

Top 10 peaks for 10 to 80 degrees two-theta, in order of falling intensity:
two_theta, d [Å], I_rel
31.7, 2.823, 100
30.4, 2.939, 80
30.0, 2.978, 55
31.1, 2.879, 55
27.0, 3.307, 52
32.7, 2.738, 52
32.8, 2.727, 50
48.6, 1.875, 22
48.8, 1.868, 21
29.5, 3.032, 21


No. 3
Starting from a crystal structure in Alexandria, relaxed with GGA-PBE, the PXRD pattern of Tl2Ag2RhO6 was calculated for Cu Kα X-rays.
Kinematic intensities with the Lorentz-polarization factor, no thermal factor.

Crystal structure
```
Tl2Ag2RhO6
1.0
2.941 -5.062 0.000
2.941 5.062 0.000
-0.803 0.000 6.317
Tl Ag Rh O
2 2 1 6
Direct
0.164 0.836 0.000
0.836 0.164 0.000
0.352 0.648 0.500
0.648 0.352 0.500
0.500 0.500 0.000
0.189 0.189 0.842
0.238 0.536 0.174
0.464 0.762 0.826
0.536 0.238 0.174
0.762 0.464 0.826
0.811 0.811 0.158
```

Top 10 peaks for 10 to 80 degrees two-theta, in order of falling intensity:
two_theta, d [Å], I_rel
33.0, 2.718, 100
14.0, 6.317, 75
30.6, 2.918, 67
28.3, 3.159, 61
34.6, 2.590, 61
51.9, 1.762, 29
44.9, 2.021, 29
21.3, 4.176, 26
54.8, 1.674, 25
39.3, 2.292, 24


No. 4
Starting from a crystal structure in Alexandria, relaxed with GGA-PBE, the PXRD pattern of Tl3In2Sn3 was calculated for Cu Kα X-rays.
Kinematic intensities with the Lorentz-polarization factor, no thermal factor.

Crystal structure
```
Tl3In2Sn3
1.0
8.777 -2.631 0.000
8.777 2.631 0.000
-1.531 0.000 4.964
Tl In Sn
3 2 3
Direct
0.000 0.000 0.000
0.125 0.125 0.624
0.875 0.875 0.376
0.248 0.248 0.247
0.752 0.752 0.753
0.368 0.368 0.867
0.500 0.500 0.500
0.632 0.632 0.133
```

Top 10 peaks for 10 to 80 degrees two-theta, in order of falling intensity:
two_theta, d [Å], I_rel
32.3, 2.773, 100
34.1, 2.631, 22
34.5, 2.597, 21
59.9, 1.545, 17
60.5, 1.531, 17
49.3, 1.848, 16
67.6, 1.387, 12
43.1, 2.097, 11
56.4, 1.631, 10
56.1, 1.640, 10


No. 5
Starting from a crystal structure in Alexandria, relaxed with GGA-PBE, the PXRD pattern of DyZn4Ni6 was calculated for Cu Kα X-rays.
Kinematic intensities with the Lorentz-polarization factor, no thermal factor.

Crystal structure
```
DyZn4Ni6
1.0
-2.994 2.994 4.613
2.994 -2.994 4.613
2.994 2.994 -4.613
Dy Zn Ni
1 4 6
Direct
0.000 0.000 0.000
0.096 0.508 0.000
0.492 0.492 0.589
0.508 0.096 0.000
0.904 0.904 0.411
0.000 0.500 0.500
0.262 0.262 0.679
0.417 0.738 0.000
0.500 0.000 0.500
0.583 0.583 0.321
0.738 0.417 0.000
```

Top 10 peaks for 10 to 80 degrees two-theta, in order of falling intensity:
two_theta, d [Å], I_rel
35.8, 2.511, 100
34.9, 2.572, 69
46.6, 1.951, 55
44.7, 2.026, 54
44.9, 2.020, 53
42.7, 2.117, 51
32.7, 2.736, 32
73.6, 1.286, 30
19.2, 4.613, 30
59.2, 1.560, 22


No. 6
Starting from a crystal structure in Alexandria, relaxed with GGA-PBE, the PXRD pattern of Cd5C4 was calculated for Cu Kα X-rays.
Kinematic intensities with the Lorentz-polarization factor, no thermal factor.

Crystal structure
```
Cd5C4
1.0
-3.712 3.712 3.277
3.712 -3.712 3.277
3.712 3.712 -3.277
Cd C
5 4
Direct
0.000 0.000 0.000
0.288 0.288 0.575
0.288 0.712 0.000
0.712 0.288 0.000
0.712 0.712 0.425
0.000 0.413 0.413
0.000 0.587 0.587
0.413 0.000 0.413
0.587 0.000 0.587
```

Top 10 peaks for 10 to 80 degrees two-theta, in order of falling intensity:
two_theta, d [Å], I_rel
27.2, 3.277, 100
38.9, 2.315, 75
34.2, 2.625, 71
44.2, 2.049, 67
30.2, 2.962, 65
24.0, 3.712, 47
56.1, 1.638, 36
69.7, 1.349, 35
36.6, 2.457, 33
64.3, 1.448, 20


No. 7
Starting from a crystal structure in Alexandria, relaxed with GGA-PBE, the PXRD pattern of IrOsI3 was calculated for Cu Kα X-rays.
Kinematic intensities with the Lorentz-polarization factor, no thermal factor.

Crystal structure
```
IrOsI3
1.0
5.311 0.000 0.000
0.000 5.311 0.000
0.000 0.000 5.311
Ir Os I
1 1 3
Direct
0.000 0.000 0.000
0.500 0.500 0.500
0.000 0.500 0.500
0.500 0.000 0.500
0.500 0.500 0.000
```

Top 10 peaks for 10 to 80 degrees two-theta, in order of falling intensity:
two_theta, d [Å], I_rel
33.8, 2.656, 100
48.5, 1.878, 72
23.7, 3.756, 53
29.1, 3.067, 50
41.7, 2.168, 25
60.4, 1.533, 25
57.6, 1.601, 21
16.7, 5.311, 15
65.8, 1.420, 13
54.6, 1.680, 12


No. 8
Starting from a crystal structure in Alexandria, relaxed with GGA-PBE, the PXRD pattern of Ce6PuSn2 was calculated for Cu Kα X-rays.
Kinematic intensities with the Lorentz-polarization factor, no thermal factor.

Crystal structure
```
Ce6PuSn2
1.0
0.000 4.977 4.977
4.977 0.000 4.977
4.977 4.977 0.000
Ce Pu Sn
6 1 2
Direct
0.246 0.246 0.754
0.246 0.754 0.246
0.246 0.754 0.754
0.754 0.246 0.246
0.754 0.246 0.754
0.754 0.754 0.246
0.000 0.000 0.000
0.250 0.250 0.250
0.750 0.750 0.750
```

Top 10 peaks for 10 to 80 degrees two-theta, in order of falling intensity:
two_theta, d [Å], I_rel
36.1, 2.489, 100
31.1, 2.874, 82
52.0, 1.760, 71
15.4, 5.748, 39
61.8, 1.501, 34
17.8, 4.977, 24
64.9, 1.437, 24
29.8, 3.002, 20
40.5, 2.226, 12
76.6, 1.244, 11


No. 9
Starting from a crystal structure in Alexandria, relaxed with GGA-PBE, the PXRD pattern of BaAc2Pb4 was calculated for Cu Kα X-rays.
Kinematic intensities with the Lorentz-polarization factor, no thermal factor.

Crystal structure
```
BaAc2Pb4
1.0
-2.374 2.543 11.322
2.374 -2.543 11.322
2.374 2.543 -11.322
Ba Ac Pb
1 2 4
Direct
0.000 0.000 0.000
0.182 0.682 0.500
0.818 0.318 0.500
0.335 0.835 0.500
0.428 0.428 0.000
0.572 0.572 0.000
0.665 0.165 0.500
```

Top 10 peaks for 10 to 80 degrees two-theta, in order of falling intensity:
two_theta, d [Å], I_rel
26.9, 3.318, 100
35.1, 2.555, 68
35.3, 2.543, 32
37.9, 2.374, 26
33.5, 2.673, 26
26.4, 3.382, 23
52.8, 1.735, 21
49.5, 1.842, 18
63.5, 1.466, 15
31.6, 2.830, 15


No. 10
Starting from a crystal structure in Alexandria, relaxed with GGA-PBE, the PXRD pattern of SmDy10Sc4 was calculated for Cu Kα X-rays.
Kinematic intensities with the Lorentz-polarization factor, no thermal factor.

Crystal structure
```
SmDy10Sc4
1.0
-6.127 6.127 3.307
6.127 -6.127 3.307
6.127 6.127 -3.307
Sm Dy Sc
1 10 4
Direct
0.000 0.000 0.000
0.036 0.633 0.158
0.122 0.964 0.597
0.250 0.750 0.500
0.367 0.525 0.403
0.475 0.878 0.842
0.525 0.122 0.158
0.633 0.475 0.597
0.750 0.250 0.500
0.878 0.036 0.403
0.964 0.367 0.842
0.324 0.431 0.755
0.431 0.676 0.108
0.569 0.324 0.892
0.676 0.569 0.245
```

Top 10 peaks for 10 to 80 degrees two-theta, in order of falling intensity:
two_theta, d [Å], I_rel
32.7, 2.740, 100
23.0, 3.875, 93
35.7, 2.516, 90
46.7, 1.944, 48
28.9, 3.090, 48
42.9, 2.110, 46
27.0, 3.307, 44
10.2, 8.664, 35
37.4, 2.403, 35
41.5, 2.175, 28


No. 11
Starting from a crystal structure in Alexandria, relaxed with GGA-PBE, the PXRD pattern of PrDy3Zn4 was calculated for Cu Kα X-rays.
Kinematic intensities with the Lorentz-polarization factor, no thermal factor.

Crystal structure
```
PrDy3Zn4
1.0
5.073 0.000 0.000
0.000 5.073 0.000
0.000 0.000 7.268
Pr Dy Zn
1 3 4
Direct
0.000 0.000 0.000
0.000 0.000 0.500
0.500 0.500 0.000
0.500 0.500 0.500
0.000 0.500 0.261
0.000 0.500 0.739
0.500 0.000 0.261
0.500 0.000 0.739
```

Top 10 peaks for 10 to 80 degrees two-theta, in order of falling intensity:
two_theta, d [Å], I_rel
35.2, 2.553, 100
35.4, 2.537, 49
63.4, 1.468, 35
62.9, 1.477, 18
50.9, 1.794, 17
24.8, 3.587, 17
74.3, 1.277, 11
50.2, 1.817, 9
24.5, 3.634, 9
43.5, 2.080, 8


No. 12
Starting from a crystal structure in Alexandria, relaxed with GGA-PBE, the PXRD pattern of YGaSn3 was calculated for Cu Kα X-rays.
Kinematic intensities with the Lorentz-polarization factor, no thermal factor.

Crystal structure
```
YGaSn3
1.0
12.584 0.000 0.000
0.000 6.269 0.000
0.000 0.000 6.397
Y Ga Sn
4 4 12
Direct
0.196 0.017 0.250
0.196 0.483 0.750
0.804 0.517 0.250
0.804 0.983 0.750
0.380 0.250 0.000
0.380 0.250 0.500
0.620 0.750 0.000
0.620 0.750 0.500
0.001 0.750 0.000
0.001 0.750 0.500
0.234 0.523 0.250
0.234 0.977 0.750
0.436 0.652 0.750
0.436 0.848 0.250
0.564 0.152 0.750
0.564 0.348 0.250
0.766 0.023 0.250
0.766 0.477 0.750
0.999 0.250 0.000
0.999 0.250 0.500
```

Top 10 peaks for 10 to 80 degrees two-theta, in order of falling intensity:
two_theta, d [Å], I_rel
31.9, 2.805, 100
35.7, 2.514, 93
35.3, 2.543, 70
40.3, 2.239, 63
31.4, 2.851, 50
34.9, 2.571, 40
29.2, 3.061, 39
54.9, 1.673, 35
34.6, 2.595, 32
68.3, 1.373, 29


No. 13
Starting from a crystal structure in Alexandria, relaxed with GGA-PBE, the PXRD pattern of LiGaF3 was calculated for Cu Kα X-rays.
Kinematic intensities with the Lorentz-polarization factor, no thermal factor.

Crystal structure
```
LiGaF3
1.0
5.476 0.000 0.000
-2.738 4.742 0.000
0.000 0.000 5.489
Li Ga F
2 2 6
Direct
0.000 0.000 0.000
0.000 0.000 0.500
0.667 0.333 0.000
0.667 0.333 0.500
0.325 0.077 0.250
0.325 0.248 0.750
0.752 0.077 0.750
0.752 0.675 0.250
0.923 0.248 0.250
0.923 0.675 0.750
```

Top 10 peaks for 10 to 80 degrees two-theta, in order of falling intensity:
two_theta, d [Å], I_rel
18.7, 4.742, 100
37.9, 2.374, 33
50.9, 1.794, 33
46.9, 1.938, 30
32.7, 2.738, 12
61.8, 1.501, 11
36.7, 2.450, 8
58.4, 1.581, 7
68.5, 1.369, 7
71.8, 1.315, 5